Computed powder XRD pattern of KMo3O9 for Cu Kα X-rays, from a cell relaxed with PBE+U.

Main lines, in order of rising 2θ (10 to 90 degrees two-theta):
2theta, I (rel.), hkl
14.9, 51, 1 1 1
20.1, 99, 0 0 2
21.7, 54, 1 3 0
22.1, 100, 2 2 0
24.0, 21, 1 3 1
29.4, 20, 3 1 1
29.8, 26, 1 3 2
30.1, 53, 2 2 2
41.5, 19, 4 0 2
43.2, 14, 3 5 0

Crystal structure
```
data_KMo3O9
_chemical_formula_sum 'K4 Mo12 O36'
_symmetry_space_group_name_H-M 'C 2 2 21'
_symmetry_Int_Tables_number 20
_cell_length_a 10.0022
_cell_length_b 13.4600
_cell_length_c 8.8301
_cell_angle_alpha 90.00
_cell_angle_beta 90.00
_cell_angle_gamma 90.00
loop_
_symmetry_equiv_pos_as_xyz
'x,y,z'
'-x,-y,z+1/2'
'x,-y,-z'
'-x,y,-z+1/2'
'x+1/2,y+1/2,z'
'-x+1/2,-y+1/2,z+1/2'
'x+1/2,-y+1/2,-z'
'-x+1/2,y+1/2,-z+1/2'
loop_
_atom_site_label
_atom_site_fract_x
_atom_site_fract_y
_atom_site_fract_z
K1 0.1232 0.0000 0.0000
Mo1 0.0127 0.3022 0.4606
Mo2 0.2479 0.0000 0.5000
O1 0.0000 0.2726 0.2500
O2 0.0097 0.1894 0.5559
O3 0.1437 0.3864 0.0054
O4 0.1461 0.0083 0.3411
O5 0.1555 0.3716 0.5033
```